# 1
Simulated X-ray diffraction stick pattern
Compound: Mg2HgPt9
Radiation: Cu Kα (weighted mean of Kα1 and Kα2)
Structure: the PBE geometry in Alexandria
Neutral-atom scattering factors, no anomalous dispersion.

Most intense lines, 2θ = 10–80°, low angle first:
2θ = 22.35°, rel. 6; 2θ = 39.02°, rel. 100; 2θ = 44.90°, rel. 16; 2θ = 45.61°, rel. 33; 2θ = 65.92°, rel. 21; 2θ = 66.48°, rel. 11; 2θ = 78.83°, rel. 12; 2θ = 79.86°, rel. 26

Atomic structure:
```
Mg2HgPt9
1.0
3.9780 0.0000 0.0000
0.0000 3.9780 0.0000
0.0000 0.0000 12.1138
Mg Hg Pt
2 1 9
direct
0.0000 0.0000 0.1640
0.0000 0.0000 0.8360
0.0000 0.0000 0.5000
0.0000 0.5000 0.0000
0.0000 0.5000 0.3242
0.0000 0.5000 0.6758
0.5000 0.0000 0.0000
0.5000 0.0000 0.3242
0.5000 0.0000 0.6758
0.5000 0.5000 0.1617
0.5000 0.5000 0.5000
0.5000 0.5000 0.8383
```


# 2
Simulated X-ray diffraction stick pattern
Compound: Mg3HgPt
Radiation: Cu Kα (weighted mean of Kα1 and Kα2)
Structure: the PBE geometry in Alexandria
Neutral-atom scattering factors, no anomalous dispersion.

Most intense lines, 2θ = 10–80°, low angle first:
2θ = 21.61°, rel. 100; 2θ = 24.44°, rel. 66; 2θ = 26.55°, rel. 40; 2θ = 33.20°, rel. 30; 2θ = 37.17°, rel. 29; 2θ = 39.35°, rel. 28; 2θ = 41.36°, rel. 34; 2θ = 43.81°, rel. 25

Atomic structure:
```
Mg3HgPt
1.0
7.2832 -4.9829 0.0000
7.2832 4.9829 0.0000
0.0000 0.0000 5.8109
Mg Hg Pt
12 4 4
direct
0.0319 0.9681 0.7612
0.0396 0.6635 0.3617
0.1635 0.5396 0.8617
0.3365 0.9604 0.3617
0.4604 0.8365 0.8617
0.4681 0.5319 0.2612
0.5319 0.4681 0.7388
0.5396 0.1635 0.1383
0.6635 0.0396 0.6383
0.8365 0.4604 0.1383
0.9604 0.3365 0.6383
0.9681 0.0319 0.2388
0.1832 0.3168 0.2500
0.3168 0.1832 0.7500
0.6832 0.8168 0.2500
0.8168 0.6832 0.7500
0.2256 0.7744 0.0881
0.2744 0.7256 0.5881
0.7256 0.2744 0.4119
0.7744 0.2256 0.9119
```


# 3
Simulated X-ray diffraction stick pattern
Compound: MgHgRu2Pt
Radiation: Cu Kα (weighted mean of Kα1 and Kα2)
Structure: the PBE geometry in Alexandria
Neutral-atom scattering factors, no anomalous dispersion.

Most intense lines, 2θ = 10–80°, low angle first:
2θ = 17.78°, rel. 100; 2θ = 30.97°, rel. 20; 2θ = 35.72°, rel. 27; 2θ = 36.01°, rel. 52; 2θ = 40.17°, rel. 27; 2θ = 40.42°, rel. 33; 2θ = 51.63°, rel. 37; 2θ = 55.04°, rel. 22

Atomic structure:
```
MgHgRu2Pt
1.0
4.9882 0.0000 0.0000
0.0000 4.9882 0.0000
0.0000 0.0000 5.0272
Mg Hg Ru Pt
1 1 2 1
direct
0.0000 0.0000 0.0000
0.5000 0.5000 0.5000
0.0000 0.5000 0.5000
0.5000 0.0000 0.5000
0.5000 0.5000 0.0000
```